Structure and computed XRD peak list of LiVNiO4 (a crystal structure in the Materials Project, relaxed with PBE+U; Cu Kα).

Crystal structure
```
data_LiVNiO4
_chemical_formula_sum 'Li4 V4 Ni4 O16'
_space_group_name_H-M_alt 'C m c m'
_space_group_IT_number 63
_space_group_name_Hall '-C 2c 2'
_cell_length_a 5.6610
_cell_length_b 8.6376
_cell_length_c 6.2651
_cell_angle_alpha 90.00
_cell_angle_beta 90.00
_cell_angle_gamma 90.00
loop_
_atom_site_label
_atom_site_fract_x
_atom_site_fract_y
_atom_site_fract_z
Li1 0.0000 0.1645 0.2500
V1 0.0000 0.1473 0.7500
Ni1 0.0000 0.5000 0.0000
O1 0.0000 0.2629 0.5282
O2 0.2467 0.0187 0.7500
```

Most intense lines, 5° ≤ 2θ ≤ 70°, in order of rising 2θ:
| hkl | d (Å) | I_rel |
| --- | --- | --- |
| 1 1 0 | 4.735 | 26 |
| 0 2 0 | 4.319 | 21 |
| 1 1 1 | 3.777 | 48 |
| 0 2 1 | 3.556 | 30 |
| 2 0 0 | 2.831 | 45 |
| 1 1 2 | 2.613 | 100 |
| 1 3 0 | 2.566 | 55 |
| 2 2 2 | 1.889 | 24 |
| 3 1 2 | 1.589 | 19 |
| 2 4 2 | 1.506 | 40 |